[1]
Starting from a structure optimized by DFT (GGA-PBE), the powder diffractogram of CaPb2 was computed for Cu Kα (weighted mean of Kα1 and Kα2).

Principal peaks in the range 2θ = 10–90°, low angle first:
| two_theta | I/Imax | h k l |
| --- | --- | --- |
| 18.30 | 22 | 2 0 -1 |
| 25.17 | 21 | 1 1 1 |
| 30.95 | 100 | 3 1 0 |
| 31.65 | 94 | 1 1 -2 |
| 35.90 | 68 | 0 2 0 |
| 37.09 | 31 | 4 0 -2 |
| 51.67 | 36 | 2 2 2 |
| 52.59 | 23 | 4 2 -2 |
| 61.04 | 14 | 5 1 2 |
| 61.48 | 15 | 3 3 0 |

Structural model:
```
data_CaPb2
_cell_length_a 11.057
_cell_length_b 5.001
_cell_length_c 6.858
_cell_angle_alpha 90.00
_cell_angle_beta 106.23
_cell_angle_gamma 90.00
_symmetry_space_group_name_H-M 'C 1 2/m 1'
_symmetry_Int_Tables_number 12
loop_
_symmetry_equiv_pos_as_xyz
'x,y,z'
'-x,-y,-z'
'-x,y,-z'
'x,-y,z'
'x+1/2,y+1/2,z'
'-x+1/2,-y+1/2,-z'
'-x+1/2,y+1/2,-z'
'x+1/2,-y+1/2,z'
loop_
_atom_site_label
_atom_site_fract_x
_atom_site_fract_y
_atom_site_fract_z
_atom_site_occupancy
Ca1 0.155 0.000 0.313 1
Pb1 0.000 0.500 0.000 1
Pb2 0.000 0.500 0.500 1
Pb3 0.170 0.000 0.826 1
```


[2]
Starting from a structure optimized by DFT (GGA-PBE), the powder diffractogram of CsTcH3F was computed for Cu Kα (weighted mean of Kα1 and Kα2).

Principal peaks in the range 2θ = 10–90°, low angle first:
| two_theta | I/Imax | h k l |
| --- | --- | --- |
| 27.11 | 44 | 0 0 4 |
| 27.67 | 100 | 1 0 2 |
| 27.87 | 37 | 0 1 1 |
| 34.00 | 41 | 0 1 3 |
| 37.15 | 50 | 1 1 1 |
| 42.08 | 28 | 1 1 3 |
| 44.01 | 15 | 0 1 5 |
| 48.24 | 21 | 1 0 6 |
| 50.78 | 21 | 1 1 5 |
| 63.31 | 19 | 1 2 2 |

Structural model:
```
data_CsTcH3F
_cell_length_a 3.698
_cell_length_b 3.300
_cell_length_c 13.159
_cell_angle_alpha 90.00
_cell_angle_beta 90.00
_cell_angle_gamma 90.00
_symmetry_space_group_name_H-M 'A m m 2'
_symmetry_Int_Tables_number 38
loop_
_symmetry_equiv_pos_as_xyz
'x,y,z'
'-x,-y,z'
'-x,y,z'
'x,-y,z'
'x,y+1/2,z+1/2'
'-x,-y+1/2,z+1/2'
'-x,y+1/2,z+1/2'
'x,-y+1/2,z+1/2'
loop_
_atom_site_label
_atom_site_fract_x
_atom_site_fract_y
_atom_site_fract_z
_atom_site_occupancy
Cs1 0.000 0.000 0.000 1
Tc1 0.500 0.000 0.257 1
H1 0.000 0.000 0.256 1
H2 0.500 0.000 0.381 1
H3 0.500 0.000 0.816 1
F1 0.500 0.000 0.624 1
```


[3]
Starting from a structure optimized by DFT (GGA-PBE), the powder diffractogram of Li3Ag was computed for Cu Kα (weighted mean of Kα1 and Kα2).

Principal peaks in the range 2θ = 10–90°, low angle first:
| two_theta | I/Imax | h k l |
| --- | --- | --- |
| 17.93 | 96 | 0 1 1 |
| 19.13 | 100 | 0 2 0 |
| 23.24 | 56 | 1 0 1 |
| 25.17 | 31 | 1 1 1 |
| 30.27 | 55 | 1 2 1 |
| 32.75 | 21 | 0 3 1 |
| 36.80 | 100 | 2 1 0 |
| 38.80 | 33 | 0 4 0 |
| 40.59 | 35 | 2 2 0 |
| 46.34 | 51 | 2 3 0 |

Structural model:
```
data_Li3Ag
_cell_length_a 5.062
_cell_length_b 9.281
_cell_length_c 5.848
_cell_angle_alpha 90.00
_cell_angle_beta 90.00
_cell_angle_gamma 90.00
_symmetry_space_group_name_H-M 'P n m a'
_symmetry_Int_Tables_number 62
loop_
_symmetry_equiv_pos_as_xyz
'x,y,z'
'-x,-y,-z'
'-x+1/2,-y,z+1/2'
'x+1/2,y,-z+1/2'
'x+1/2,-y+1/2,-z+1/2'
'-x+1/2,y+1/2,z+1/2'
'-x,y+1/2,-z'
'x,-y+1/2,z'
loop_
_atom_site_label
_atom_site_fract_x
_atom_site_fract_y
_atom_site_fract_z
_atom_site_occupancy
Li1 0.066 0.250 0.112 1
Li2 0.234 0.510 0.368 1
Ag1 0.084 0.250 0.611 1
```


[4]
Starting from a structure optimized by DFT (GGA-PBE), the powder diffractogram of YSc2Zn2 was computed for Cu Kα (weighted mean of Kα1 and Kα2).

Principal peaks in the range 2θ = 10–90°, low angle first:
| two_theta | I/Imax | h k l |
| --- | --- | --- |
| 13.99 | 6 | 0 0 2 |
| 35.46 | 17 | 0 0 5 |
| 36.39 | 100 | 0 2 0 |
| 51.70 | 11 | 0 2 5 |
| 53.13 | 7 | 2 0 -1 |
| 64.29 | 9 | 1 1 7 |
| 65.47 | 18 | 1 3 2 |
| 66.09 | 7 | 2 2 -1 |
| 77.28 | 8 | 0 4 0 |
| 89.72 | 5 | 3 1 1 |

Structural model:
```
data_YSc2Zn2
_cell_length_a 3.448
_cell_length_b 4.942
_cell_length_c 12.775
_cell_angle_alpha 90.00
_cell_angle_beta 97.76
_cell_angle_gamma 90.00
_symmetry_space_group_name_H-M 'P 1 21/m 1'
_symmetry_Int_Tables_number 11
loop_
_symmetry_equiv_pos_as_xyz
'x,y,z'
'-x,-y,-z'
'-x,y+1/2,-z'
'x,-y+1/2,z'
loop_
_atom_site_label
_atom_site_fract_x
_atom_site_fract_y
_atom_site_fract_z
_atom_site_occupancy
Y1 0.145 0.250 0.289 1
Sc1 0.047 0.750 0.093 1
Sc2 0.234 0.750 0.468 1
Zn1 0.359 0.250 0.719 1
Zn2 0.455 0.750 0.911 1
```


[5]
Starting from a structure optimized by DFT (GGA-PBE), the powder diffractogram of ZnGa2Si2Pd5 was computed for Cu Kα (weighted mean of Kα1 and Kα2).

Principal peaks in the range 2θ = 10–90°, low angle first:
| two_theta | I/Imax | h k l |
| --- | --- | --- |
| 28.27 | 18 | 0 0 1 |
| 36.37 | 47 | 4 0 0 |
| 38.43 | 72 | 2 2 1 |
| 38.66 | 53 | 3 3 0 |
| 40.63 | 100 | 3 1 1 |
| 46.69 | 57 | 4 0 1 |
| 52.38 | 22 | 4 4 0 |
| 55.82 | 20 | 6 0 0 |
| 58.48 | 21 | 0 0 2 |
| 79.94 | 35 | 7 3 1 |

Structural model:
```
data_ZnGa2Si2Pd5
_cell_length_a 9.882
_cell_length_b 9.882
_cell_length_c 3.157
_cell_angle_alpha 90.00
_cell_angle_beta 90.00
_cell_angle_gamma 90.00
_symmetry_space_group_name_H-M 'P 4/m b m'
_symmetry_Int_Tables_number 127
_symmetry_space_group_name_Hall '-P 4 2ab'
loop_
_atom_site_label
_atom_site_fract_x
_atom_site_fract_y
_atom_site_fract_z
_atom_site_occupancy
Zn1 0.000 0.000 0.000 1
Ga1 0.174 0.326 0.000 1
Si1 0.147 0.647 0.000 1
Pd1 0.000 0.500 0.500 1
Pd2 0.009 0.786 0.500 1
```


[6]
Starting from a structure optimized by DFT (GGA-PBE), the powder diffractogram of Dy2PuSi4 was computed for Cu Kα (weighted mean of Kα1 and Kα2).

Principal peaks in the range 2θ = 10–90°, low angle first:
| two_theta | I/Imax | h k l |
| --- | --- | --- |
| 21.64 | 41 | 0 1 1 |
| 27.63 | 67 | 1 0 3 |
| 30.61 | 29 | 0 0 6 |
| 33.00 | 100 | 1 1 2 |
| 33.21 | 57 | 0 1 5 |
| 37.60 | 27 | 1 1 4 |
| 51.71 | 26 | 1 2 3 |
| 52.65 | 34 | 1 1 8 |
| 58.68 | 23 | 2 1 5 |
| 62.30 | 23 | 0 1 11 |

Structural model:
```
data_Dy2PuSi4
_cell_length_a 3.874
_cell_length_b 4.225
_cell_length_c 17.523
_cell_angle_alpha 90.00
_cell_angle_beta 90.00
_cell_angle_gamma 90.00
_symmetry_space_group_name_H-M 'I m m m'
_symmetry_Int_Tables_number 71
_symmetry_space_group_name_Hall '-I 2 2'
loop_
_atom_site_label
_atom_site_fract_x
_atom_site_fract_y
_atom_site_fract_z
_atom_site_occupancy
Dy1 0.000 0.000 0.183 1
Pu1 0.000 0.500 0.500 1
Si1 0.000 0.000 0.353 1
Si2 0.000 0.500 0.066 1
```


[7]
Starting from a structure optimized by DFT (GGA-PBE), the powder diffractogram of HAu was computed for Cu Kα (weighted mean of Kα1 and Kα2).

Principal peaks in the range 2θ = 10–90°, low angle first:
| two_theta | I/Imax | h k l |
| --- | --- | --- |
| 27.63 | 100 | 1 0 0 |
| 29.81 | 85 | 0 1 1 |
| 32.43 | 66 | 0 1 -1 |
| 41.02 | 36 | 1 1 1 |
| 41.16 | 35 | -1 1 1 |
| 43.11 | 63 | 1 1 -1 |
| 44.14 | 29 | 0 0 2 |
| 45.09 | 27 | 0 2 0 |
| 52.82 | 17 | 1 0 2 |
| 74.78 | 19 | 2 0 2 |

Structural model:
```
data_HAu
_cell_length_a 3.228
_cell_length_b 4.035
_cell_length_c 4.117
_cell_angle_alpha 85.30
_cell_angle_beta 89.86
_cell_angle_gamma 89.86
_symmetry_space_group_name_H-M 'P -1'
_symmetry_Int_Tables_number 2
loop_
_symmetry_equiv_pos_as_xyz
'x,y,z'
'-x,-y,-z'
loop_
_atom_site_label
_atom_site_fract_x
_atom_site_fract_y
_atom_site_fract_z
_atom_site_occupancy
H1 0.159 0.250 0.250 1
Au1 0.500 0.000 0.500 1
Au2 0.500 0.500 0.000 1
```


[8]
Starting from a structure optimized by DFT (GGA-PBE), the powder diffractogram of Ba3BeP3 was computed for Cu Kα (weighted mean of Kα1 and Kα2).

Principal peaks in the range 2θ = 10–90°, low angle first:
| two_theta | I/Imax | h k l |
| --- | --- | --- |
| 23.73 | 100 | 3 1 2 |
| 26.97 | 30 | 0 2 0 |
| 27.46 | 43 | 0 0 4 |
| 27.96 | 47 | 6 0 0 |
| 29.40 | 19 | 2 2 1 |
| 38.87 | 22 | 0 2 4 |
| 39.24 | 22 | 6 2 0 |
| 39.59 | 32 | 6 0 4 |
| 47.00 | 17 | 9 1 2 |
| 48.56 | 19 | 6 2 4 |

Structural model:
```
data_Ba3BeP3
_cell_length_a 19.147
_cell_length_b 6.612
_cell_length_c 12.992
_cell_angle_alpha 90.00
_cell_angle_beta 90.00
_cell_angle_gamma 90.00
_symmetry_space_group_name_H-M 'C m c e'
_symmetry_Int_Tables_number 64
_symmetry_space_group_name_Hall '-C 2ac 2'
loop_
_atom_site_label
_atom_site_fract_x
_atom_site_fract_y
_atom_site_fract_z
_atom_site_occupancy
Ba1 0.000 0.184 0.148 1
Ba2 0.171 0.200 0.871 1
Be1 0.078 0.000 0.500 1
P1 0.000 0.188 0.409 1
P2 0.154 0.181 0.608 1
```